Diffraction record for SmEuCo4O12. The X-ray powder pattern is simulated, not measured: it uses a structure optimized by DFT (GGA+U) and copper Kα.

Most intense lines, 2θ = 15–90°, low angle first:
two_theta	I (rel.)	hkl
20.58	100	1 0 1
33.86	74	1 1 2
34.05	37	2 0 0
39.78	19	1 0 3
40.12	36	2 1 1
48.34	15	0 0 4
48.93	29	2 2 0
53.34	16	2 1 3
60.83	27	3 1 2
71.23	17	2 2 4

Crystal structure
Cell lengths 5.266, 5.266, 7.531 Å; angles 90.00, 90.00, 90.00 degrees
Space group P4/mmm (No. 123)
Inequivalent atoms, fractional coordinates:
Sm 0.000 0.000 0.000 [1 per cell]
Eu 0.500 0.500 0.500 [1 per cell]
Co 0.000 0.500 0.252 [4 per cell]
O 0.000 0.500 0.000 [2 per cell]
O 0.000 0.500 0.500 [2 per cell]
O 0.247 0.247 0.245 [8 per cell]